For Na3LiP2O7, the PBE geometry in Alexandria gives the computed powder diffractogram in this record (Cu Ka).
Lines closer than 0.1° are merged.

Most intense lines, 10° ≤ 2θ ≤ 90°, sorted by position:
| 2theta | d (Å) | I/Imax |
| --- | --- | --- |
| 19.07 | 4.653 | 17 |
| 19.96 | 4.449 | 39 |
| 20.38 | 4.358 | 25 |
| 23.53 | 3.781 | 40 |
| 28.55 | 3.127 | 59 |
| 28.72 | 3.109 | 25 |
| 33.09 | 2.707 | 100 |
| 33.89 | 2.645 | 20 |
| 34.45 | 2.603 | 43 |
| 34.70 | 2.585 | 17 |
| 40.94 | 2.205 | 22 |
| 43.84 | 2.065 | 38 |

Structure:
```
Na3LiP2O7
1.0
2.773 -4.653 0.000
2.773 4.653 0.000
0.000 0.000 12.434
Na Li P O
6 2 4 14
direct
0.049 0.698 0.618 Na
0.302 0.951 0.882 Na
0.347 0.347 0.500 Na
0.653 0.653 0.000 Na
0.698 0.049 0.382 Na
0.951 0.302 0.118 Na
0.456 0.544 0.250 Li
0.544 0.456 0.750 Li
0.022 0.695 0.351 P
0.305 0.978 0.149 P
0.695 0.022 0.649 P
0.978 0.305 0.851 P
0.085 0.460 0.313 O
0.088 0.912 0.250 O
0.129 0.786 0.057 O
0.214 0.871 0.443 O
0.292 0.410 0.872 O
0.410 0.292 0.128 O
0.460 0.085 0.687 O
0.540 0.915 0.187 O
0.590 0.708 0.628 O
0.708 0.590 0.372 O
0.786 0.129 0.943 O
0.871 0.214 0.557 O
0.912 0.088 0.750 O
0.915 0.540 0.813 O
```

=====

For CsBi2Pt, the PBE geometry in Alexandria gives the computed powder diffractogram in this record (Cu Ka).
Lines closer than 0.1° are merged.

Most intense lines, 10° ≤ 2θ ≤ 90°, sorted by position:
| 2theta | d (Å) | I/Imax |
| --- | --- | --- |
| 10.57 | 8.371 | 86 |
| 24.24 | 3.672 | 15 |
| 27.23 | 3.275 | 28 |
| 29.28 | 3.050 | 100 |
| 36.99 | 2.430 | 37 |
| 40.70 | 2.217 | 59 |
| 42.17 | 2.143 | 20 |
| 46.29 | 1.961 | 21 |
| 50.92 | 1.793 | 22 |
| 53.07 | 1.726 | 21 |
| 67.14 | 1.394 | 22 |
| 83.28 | 1.160 | 12 |

Structure:
```
CsBi2Pt
1.0
2.217 1.280 8.371
-2.217 1.280 8.371
0.000 -2.560 8.371
Cs Bi Pt
1 2 1
direct
0.000 0.000 0.000 Cs
0.551 0.551 0.551 Bi
0.788 0.788 0.788 Bi
0.170 0.170 0.170 Pt
```

=====

For Ga3CuPt, the PBE geometry in Alexandria gives the computed powder diffractogram in this record (Cu Ka).
Lines closer than 0.1° are merged.

Most intense lines, 10° ≤ 2θ ≤ 90°, sorted by position:
| 2theta | d (Å) | I/Imax |
| --- | --- | --- |
| 17.68 | 5.015 | 63 |
| 22.48 | 3.954 | 82 |
| 28.58 | 3.123 | 39 |
| 31.35 | 2.853 | 37 |
| 37.64 | 2.390 | 48 |
| 38.36 | 2.347 | 30 |
| 42.46 | 2.129 | 86 |
| 42.94 | 2.106 | 100 |
| 44.81 | 2.022 | 47 |
| 45.87 | 1.978 | 23 |
| 46.45 | 1.955 | 30 |
| 47.11 | 1.929 | 31 |

Structure:
```
Ga3CuPt
1.0
8.559 0.000 0.000
0.000 4.780 0.000
-5.708 0.000 8.250
Ga Cu Pt
12 4 4
direct
0.064 0.143 0.155 Ga
0.064 0.357 0.655 Ga
0.334 0.685 0.165 Ga
0.334 0.815 0.665 Ga
0.385 0.215 0.005 Ga
0.385 0.285 0.505 Ga
0.615 0.715 0.495 Ga
0.615 0.785 0.995 Ga
0.666 0.185 0.335 Ga
0.666 0.315 0.835 Ga
0.936 0.643 0.345 Ga
0.936 0.857 0.845 Ga
0.058 0.141 0.428 Cu
0.058 0.359 0.928 Cu
0.942 0.641 0.072 Cu
0.942 0.859 0.572 Cu
0.260 0.723 0.877 Pt
0.260 0.777 0.377 Pt
0.740 0.223 0.623 Pt
0.740 0.277 0.123 Pt
```

=====

For AcGe3O8, the PBE geometry in Alexandria gives the computed powder diffractogram in this record (Cu Ka).
Lines closer than 0.1° are merged.

Most intense lines, 10° ≤ 2θ ≤ 90°, sorted by position:
| 2theta | d (Å) | I/Imax |
| --- | --- | --- |
| 19.94 | 4.452 | 69 |
| 23.67 | 3.759 | 72 |
| 32.50 | 2.755 | 100 |
| 34.90 | 2.571 | 67 |
| 37.25 | 2.414 | 19 |
| 42.61 | 2.122 | 15 |
| 43.68 | 2.072 | 25 |
| 48.43 | 1.879 | 37 |
| 56.21 | 1.636 | 16 |
| 61.08 | 1.517 | 37 |
| 62.59 | 1.484 | 18 |
| 64.31 | 1.449 | 22 |

Structure:
```
AcGe3O8
1.0
5.141 0.000 0.000
-2.571 4.452 0.000
0.000 0.000 7.014
Ac Ge O
1 3 8
direct
0.000 0.000 0.000 Ac
0.000 0.000 0.500 Ge
0.333 0.667 0.714 Ge
0.667 0.333 0.286 Ge
0.032 0.729 0.669 O
0.271 0.303 0.669 O
0.303 0.032 0.331 O
0.333 0.667 0.972 O
0.667 0.333 0.028 O
0.697 0.968 0.669 O
0.729 0.697 0.331 O
0.968 0.271 0.331 O
```

=====

For Al2InHIr, the PBE geometry in Alexandria gives the computed powder diffractogram in this record (Cu Ka).
Lines closer than 0.1° are merged.

Most intense lines, 10° ≤ 2θ ≤ 90°, sorted by position:
| 2theta | d (Å) | I/Imax |
| --- | --- | --- |
| 25.68 | 3.469 | 54 |
| 30.70 | 2.912 | 100 |
| 36.63 | 2.453 | 44 |
| 48.53 | 1.876 | 56 |
| 52.78 | 1.735 | 15 |
| 57.45 | 1.604 | 12 |
| 59.59 | 1.551 | 11 |
| 62.31 | 1.490 | 13 |
| 63.94 | 1.456 | 17 |
| 74.50 | 1.274 | 16 |
| 76.01 | 1.252 | 10 |
| 86.00 | 1.130 | 11 |

Structure:
```
Al2InHIr
1.0
4.906 0.000 0.000
0.000 4.906 0.000
0.000 0.000 3.618
Al In H Ir
2 1 1 1
direct
0.000 0.500 0.000 Al
0.500 0.000 0.000 Al
0.000 0.000 0.500 In
0.500 0.500 0.500 H
0.500 0.500 0.000 Ir
```

=====

For La2BeSi3, the PBE geometry in Alexandria gives the computed powder diffractogram in this record (Cu Ka).
Lines closer than 0.1° are merged.

Most intense lines, 10° ≤ 2θ ≤ 90°, sorted by position:
| 2theta | d (Å) | I/Imax |
| --- | --- | --- |
| 19.89 | 4.463 | 17 |
| 25.70 | 3.466 | 47 |
| 32.71 | 2.738 | 100 |
| 40.42 | 2.232 | 12 |
| 45.31 | 2.001 | 26 |
| 48.52 | 1.876 | 17 |
| 49.94 | 1.826 | 10 |
| 52.82 | 1.733 | 7 |
| 57.00 | 1.616 | 20 |
| 62.32 | 1.490 | 20 |
| 68.65 | 1.367 | 11 |
| 75.60 | 1.258 | 12 |

Structure:
```
La2BeSi3
1.0
0.000 4.463 6.941
3.998 0.000 6.941
3.998 4.463 0.000
La Be Si
4 2 6
direct
0.246 0.754 0.246 La
0.250 0.250 0.250 La
0.750 0.750 0.750 La
0.754 0.246 0.754 La
0.334 0.334 0.666 Be
0.666 0.666 0.334 Be
0.172 0.172 0.828 Si
0.175 0.654 0.825 Si
0.346 0.825 0.654 Si
0.654 0.175 0.346 Si
0.825 0.346 0.175 Si
0.828 0.828 0.172 Si
```

=====

For CsGaAg, the PBE geometry in Alexandria gives the computed powder diffractogram in this record (Cu Ka).
Lines closer than 0.1° are merged.

Most intense lines, 10° ≤ 2θ ≤ 90°, sorted by position:
| 2theta | d (Å) | I/Imax |
| --- | --- | --- |
| 18.16 | 4.886 | 61 |
| 20.54 | 4.324 | 38 |
| 24.18 | 3.680 | 95 |
| 24.88 | 3.578 | 69 |
| 25.56 | 3.484 | 76 |
| 30.86 | 2.897 | 88 |
| 31.24 | 2.863 | 35 |
| 38.31 | 2.349 | 56 |
| 39.66 | 2.273 | 54 |
| 39.80 | 2.265 | 100 |
| 48.86 | 1.864 | 37 |
| 53.48 | 1.713 | 36 |

Structure:
```
CsGaAg
1.0
5.218 0.000 0.000
0.000 4.699 0.000
-1.078 0.000 11.040
Cs Ga Ag
2 2 2
direct
0.220 0.250 0.289 Cs
0.780 0.750 0.711 Cs
0.372 0.750 0.024 Ga
0.628 0.250 0.976 Ga
0.125 0.250 0.955 Ag
0.875 0.750 0.045 Ag
```

=====

For Sr4LiSm2Ta2O12, the PBE geometry in Alexandria gives the computed powder diffractogram in this record (Cu Ka).
Lines closer than 0.1° are merged.

Most intense lines, 10° ≤ 2θ ≤ 90°, sorted by position:
| 2theta | d (Å) | I/Imax |
| --- | --- | --- |
| 20.78 | 4.276 | 21 |
| 21.01 | 4.228 | 37 |
| 29.24 | 3.054 | 47 |
| 29.65 | 3.013 | 51 |
| 29.76 | 3.002 | 100 |
| 30.00 | 2.978 | 49 |
| 30.21 | 2.959 | 49 |
| 42.28 | 2.138 | 25 |
| 42.77 | 2.114 | 49 |
| 52.52 | 1.743 | 18 |
| 53.05 | 1.726 | 24 |
| 53.40 | 1.716 | 33 |

Structure:
```
Sr4LiSm2Ta2O12
1.0
5.918 0.000 0.000
-0.072 6.109 0.000
-0.067 -0.025 8.463
Sr Li Sm Ta O
4 1 2 2 12
direct
0.000 0.000 0.000 Sr
0.016 0.075 0.505 Sr
0.473 0.509 0.999 Sr
0.492 0.651 0.497 Sr
0.612 0.261 0.498 Li
0.491 0.049 0.764 Sm
0.986 0.548 0.248 Sm
0.490 0.054 0.239 Ta
0.989 0.549 0.746 Ta
0.081 0.528 0.515 O
0.173 0.276 0.796 O
0.212 0.239 0.203 O
0.263 0.744 0.790 O
0.302 0.782 0.202 O
0.418 0.037 0.484 O
0.587 0.090 0.018 O
0.663 0.342 0.299 O
0.709 0.359 0.689 O
0.769 0.871 0.291 O
0.801 0.824 0.700 O
0.899 0.576 0.977 O
```

=====

For NaLiB2H8, the PBE geometry in Alexandria gives the computed powder diffractogram in this record (Cu Ka).
Lines closer than 0.1° are merged.

Most intense lines, 10° ≤ 2θ ≤ 90°, sorted by position:
| 2theta | d (Å) | I/Imax |
| --- | --- | --- |
| 13.04 | 6.788 | 43 |
| 25.04 | 3.556 | 30 |
| 28.33 | 3.150 | 98 |
| 36.60 | 2.455 | 100 |
| 44.11 | 2.053 | 39 |
| 46.19 | 1.965 | 18 |
| 47.63 | 1.909 | 14 |
| 52.06 | 1.757 | 9 |
| 53.25 | 1.720 | 10 |
| 58.61 | 1.575 | 21 |
| 72.22 | 1.308 | 15 |
| 76.18 | 1.250 | 18 |

Structure:
```
NaLiB2H8
1.0
4.106 0.000 0.000
-2.053 3.556 0.000
0.000 0.000 6.788
Na Li B H
1 1 2 8
direct
0.000 0.000 0.000 Na
0.000 0.000 0.500 Li
0.333 0.667 0.743 B
0.667 0.333 0.257 B
0.046 0.388 0.687 H
0.333 0.667 0.924 H
0.342 0.954 0.687 H
0.388 0.342 0.313 H
0.612 0.658 0.687 H
0.658 0.046 0.313 H
0.667 0.333 0.076 H
0.954 0.612 0.313 H
```

=====

For Ca3PrC4O12, the PBE geometry in Alexandria gives the computed powder diffractogram in this record (Cu Ka).
Lines closer than 0.1° are merged.

Most intense lines, 10° ≤ 2θ ≤ 90°, sorted by position:
| 2theta | d (Å) | I/Imax |
| --- | --- | --- |
| 14.19 | 6.241 | 31 |
| 17.35 | 5.110 | 16 |
| 22.51 | 3.949 | 39 |
| 28.60 | 3.121 | 100 |
| 33.65 | 2.663 | 11 |
| 35.12 | 2.555 | 19 |
| 42.12 | 2.145 | 22 |
| 45.89 | 1.977 | 14 |
| 46.07 | 1.970 | 20 |
| 47.17 | 1.927 | 22 |
| 55.97 | 1.643 | 11 |
| 59.08 | 1.564 | 11 |

Structure:
```
Ca3PrC4O12
1.0
5.110 2.950 2.934
-5.110 2.950 2.934
0.000 -5.900 2.934
Ca Pr C O
3 1 4 12
direct
0.000 0.533 0.467 Ca
0.467 0.000 0.533 Ca
0.533 0.467 0.000 Ca
0.000 0.000 0.000 Pr
0.038 0.500 0.962 C
0.500 0.500 0.500 C
0.500 0.962 0.038 C
0.962 0.038 0.500 C
0.043 0.634 0.841 O
0.090 0.910 0.500 O
0.159 0.366 0.957 O
0.366 0.957 0.159 O
0.373 0.627 0.500 O
0.500 0.090 0.910 O
0.500 0.373 0.627 O
0.627 0.500 0.373 O
0.634 0.841 0.043 O
0.841 0.043 0.634 O
0.910 0.500 0.090 O
0.957 0.159 0.366 O
```

=====

For PmPr4Ho8, the PBE geometry in Alexandria gives the computed powder diffractogram in this record (Cu Ka).
Lines closer than 0.1° are merged.

Most intense lines, 10° ≤ 2θ ≤ 90°, sorted by position:
| 2theta | d (Å) | I/Imax |
| --- | --- | --- |
| 19.62 | 4.524 | 10 |
| 22.69 | 3.918 | 10 |
| 25.42 | 3.504 | 5 |
| 32.31 | 2.771 | 100 |
| 38.09 | 2.363 | 6 |
| 46.35 | 1.959 | 18 |
| 52.20 | 1.752 | 4 |
| 57.59 | 1.600 | 28 |
| 57.72 | 1.597 | 9 |
| 67.56 | 1.387 | 6 |
| 67.70 | 1.384 | 6 |
| 76.95 | 1.239 | 15 |

Structure:
```
PmPr4Ho8
1.0
5.546 3.202 4.517
-5.546 3.202 4.517
0.000 -6.404 4.517
Pm Pr Ho
1 4 8
direct
0.000 0.000 0.000 Pm
0.000 0.000 0.500 Pr
0.000 0.500 0.000 Pr
0.500 0.000 0.000 Pr
0.500 0.500 0.500 Pr
0.260 0.739 0.739 Ho
0.261 0.261 0.261 Ho
0.261 0.261 0.740 Ho
0.261 0.740 0.261 Ho
0.739 0.260 0.739 Ho
0.739 0.739 0.260 Ho
0.739 0.739 0.739 Ho
0.740 0.261 0.261 Ho
```

=====

For TaZnIn, the PBE geometry in Alexandria gives the computed powder diffractogram in this record (Cu Ka).
Lines closer than 0.1° are merged.

Most intense lines, 10° ≤ 2θ ≤ 90°, sorted by position:
| 2theta | d (Å) | I/Imax |
| --- | --- | --- |
| 12.47 | 7.098 | 29 |
| 34.35 | 2.611 | 25 |
| 34.74 | 2.582 | 23 |
| 38.05 | 2.365 | 100 |
| 38.70 | 2.326 | 22 |
| 40.28 | 2.239 | 19 |
| 40.47 | 2.229 | 52 |
| 48.89 | 1.863 | 10 |
| 61.45 | 1.509 | 17 |
| 67.09 | 1.395 | 12 |
| 72.00 | 1.312 | 14 |
| 74.07 | 1.280 | 19 |

Structure:
```
TaZnIn
1.0
7.166 -1.522 0.000
7.166 1.522 0.000
-0.713 0.000 5.164
Ta Zn In
2 2 2
direct
0.249 0.249 0.255 Ta
0.751 0.751 0.745 Ta
0.409 0.409 0.649 Zn
0.591 0.591 0.351 Zn
0.079 0.079 0.834 In
0.921 0.921 0.166 In
```